(1)
The following is a theoretical X-ray diffraction stick pattern of Rb2BiF7. It was derived from a cell relaxed with GGA-PBE, using Cu Ka.

Crystal structure
```
data_Rb2BiF7
_chemical_formula_sum 'Rb4 Bi2 F14'
_cell_length_a 6.629
_cell_length_b 6.629
_cell_length_c 9.357
_cell_angle_alpha 90.00
_cell_angle_beta 90.00
_cell_angle_gamma 90.00
_symmetry_space_group_name_H-M 'I 4/m m m'
_symmetry_Int_Tables_number 139
_symmetry_space_group_name_Hall '-I 4 2'
loop_
_atom_site_label
_atom_site_fract_x
_atom_site_fract_y
_atom_site_fract_z
_atom_site_occupancy
Rb1 0.000 0.500 0.250 1
Bi1 0.000 0.000 0.000 1
F1 0.000 0.000 0.225 1
F2 0.000 0.000 0.500 1
F3 0.225 0.225 0.000 1
```

The 10 most intense peaks (2θ = 5–70°), in order of rising 2θ:
- 16.4°, I 67, hkl 1 0 1
- 26.9°, I 100, hkl 2 0 0
- 31.7°, I 32, hkl 1 0 3
- 38.4°, I 38, hkl 2 2 0
- 42.0°, I 12, hkl 2 1 3
- 47.5°, I 41, hkl 3 1 2
- 50.6°, I 16, hkl 3 2 1
- 55.5°, I 24, hkl 4 0 0
- 58.3°, I 15, hkl 3 2 3
- 62.7°, I 14, hkl 4 2 0

(2)
The following is a theoretical X-ray diffraction stick pattern of Rb2BiF4. It was derived from a cell relaxed with GGA-PBE, using Cu Ka.

Crystal structure
```
data_Rb2BiF4
_chemical_formula_sum 'Rb4 Bi2 F8'
_cell_length_a 4.972
_cell_length_b 4.972
_cell_length_c 13.932
_cell_angle_alpha 90.00
_cell_angle_beta 90.00
_cell_angle_gamma 90.00
_symmetry_space_group_name_H-M 'I 4/m m m'
_symmetry_Int_Tables_number 139
_symmetry_space_group_name_Hall '-I 4 2'
loop_
_atom_site_label
_atom_site_fract_x
_atom_site_fract_y
_atom_site_fract_z
_atom_site_occupancy
Rb1 0.000 0.000 0.140 1
Bi1 0.000 0.000 0.500 1
F1 0.000 0.000 0.333 1
F2 0.000 0.500 0.000 1
```

The 10 most intense peaks (2θ = 5–70°), in order of rising 2θ:
- 12.7°, I 48, hkl 0 0 2
- 18.9°, I 28, hkl 1 0 1
- 25.3°, I 78, hkl 1 1 0
- 26.3°, I 100, hkl 1 0 3
- 36.1°, I 46, hkl 2 0 0
- 37.0°, I 32, hkl 1 0 5
- 45.2°, I 48, hkl 2 1 3
- 46.9°, I 19, hkl 1 1 6
- 52.7°, I 23, hkl 2 1 5
- 59.2°, I 19, hkl 3 0 3